Computed XRD peak list
Compound: WO2F
Radiation: Cu Kα (weighted mean of Kα1 and Kα2)
Structure: the GGA+U geometry in the Materials Project

Atomic structure:
```
WO2F
1.0
4.794 -2.815 0.000
4.794 2.815 0.000
-3.426 0.000 4.620
W O F
2 4 2
direct
0.224 0.776 0.500 W
0.776 0.224 0.000 W
0.011 0.983 0.759 O
0.036 0.477 0.255 O
0.477 0.036 0.755 O
0.983 0.011 0.259 O
0.504 0.531 0.253 F
0.531 0.504 0.753 F
```

Most intense lines, 15 to 90 degrees two-theta, by angle:
- 2θ 22.09, rel. 100.0
- 2θ 23.10, rel. 47.4
- 2θ 31.10, rel. 14.4
- 2θ 31.78, rel. 11.8
- 2θ 32.12, rel. 26.7
- 2θ 32.24, rel. 26.2
- 2θ 45.06, rel. 19.2
- 2θ 50.27, rel. 11.4
- 2θ 51.17, rel. 18.3
- 2θ 51.32, rel. 9.8

***

Computed XRD peak list
Compound: WOF4
Radiation: Cu Kα (weighted mean of Kα1 and Kα2)
Structure: the GGA+U geometry in the Materials Project

Atomic structure:
```
WOF4
1.0
11.079 0.000 0.000
0.000 5.121 0.000
-7.220 0.000 14.555
W O F
8 8 32
direct
0.081 0.075 0.421 W
0.081 0.425 0.921 W
0.417 0.016 0.829 W
0.417 0.484 0.329 W
0.583 0.516 0.671 W
0.583 0.984 0.171 W
0.919 0.575 0.079 W
0.919 0.925 0.579 W
0.186 0.212 0.903 O
0.186 0.288 0.403 O
0.320 0.699 0.355 O
0.320 0.801 0.855 O
0.680 0.199 0.145 O
0.680 0.301 0.645 O
0.814 0.712 0.597 O
0.814 0.788 0.097 O
0.029 0.662 0.823 F
0.029 0.838 0.323 F
0.075 0.208 0.531 F
0.075 0.292 0.031 F
0.087 0.744 0.143 F
0.087 0.756 0.643 F
0.204 0.674 0.999 F
0.204 0.826 0.499 F
0.293 0.236 0.251 F
0.293 0.264 0.751 F
0.409 0.129 0.109 F
0.409 0.371 0.609 F
0.417 0.637 0.221 F
0.417 0.863 0.721 F
0.472 0.234 0.424 F
0.472 0.266 0.924 F
0.528 0.734 0.076 F
0.528 0.766 0.576 F
0.583 0.137 0.279 F
0.583 0.363 0.779 F
0.591 0.629 0.391 F
0.591 0.871 0.891 F
0.707 0.736 0.249 F
0.707 0.764 0.749 F
0.796 0.174 0.501 F
0.796 0.326 0.001 F
0.913 0.244 0.357 F
0.913 0.256 0.857 F
0.925 0.708 0.969 F
0.925 0.792 0.469 F
0.971 0.162 0.677 F
0.971 0.338 0.177 F
```

Most intense lines, 15 to 90 degrees two-theta, by angle:
- 2θ 17.87, rel. 36.2
- 2θ 18.03, rel. 100.0
- 2θ 19.21, rel. 98.4
- 2θ 21.61, rel. 31.3
- 2θ 23.01, rel. 66.9
- 2θ 23.73, rel. 26.1
- 2θ 23.93, rel. 48.4
- 2θ 24.09, rel. 47.2
- 2θ 25.29, rel. 29.8
- 2θ 27.60, rel. 34.4

***

Computed XRD peak list
Compound: WOF4
Radiation: Cu Kα (weighted mean of Kα1 and Kα2)
Structure: the GGA+U geometry in the Materials Project

Atomic structure:
```
WOF4
1.0
8.099 0.000 0.000
0.000 5.004 0.000
-3.451 0.000 9.680
W O F
4 4 16
direct
0.237 0.047 0.047 W
0.237 0.453 0.547 W
0.763 0.547 0.453 W
0.763 0.953 0.953 W
0.385 0.241 0.517 O
0.385 0.259 0.017 O
0.615 0.741 0.983 O
0.615 0.759 0.483 O
0.012 0.210 0.933 F
0.012 0.290 0.433 F
0.196 0.220 0.196 F
0.196 0.280 0.696 F
0.198 0.699 0.401 F
0.198 0.801 0.901 F
0.379 0.704 0.669 F
0.379 0.796 0.169 F
0.621 0.204 0.831 F
0.621 0.296 0.331 F
0.802 0.199 0.099 F
0.802 0.301 0.599 F
0.804 0.720 0.304 F
0.804 0.780 0.804 F
0.988 0.710 0.567 F
0.988 0.790 0.067 F
```

Most intense lines, 15 to 90 degrees two-theta, by angle:
- 2θ 18.11, rel. 31.0
- 2θ 18.33, rel. 49.7
- 2θ 19.98, rel. 100.0
- 2θ 21.53, rel. 13.9
- 2θ 23.32, rel. 37.9
- 2θ 24.38, rel. 17.9
- 2θ 28.39, rel. 34.3
- 2θ 31.75, rel. 19.3
- 2θ 33.23, rel. 24.6
- 2θ 41.25, rel. 11.5

***

Computed XRD peak list
Compound: WO2F
Radiation: Cu Kα (weighted mean of Kα1 and Kα2)
Structure: the GGA+U geometry in the Materials Project

Atomic structure:
```
WO2F
1.0
4.979 -2.752 0.000
4.979 2.752 0.000
-3.035 0.000 4.595
W O F
2 4 2
direct
0.000 0.500 0.000 W
0.500 0.000 0.500 W
0.229 0.257 0.238 O
0.257 0.229 0.738 O
0.743 0.771 0.262 O
0.771 0.743 0.762 O
0.269 0.731 0.250 F
0.731 0.269 0.750 F
```

Most intense lines, 15 to 90 degrees two-theta, by angle:
- 2θ 21.39, rel. 55.3
- 2θ 22.84, rel. 100.0
- 2θ 31.49, rel. 56.8
- 2θ 32.53, rel. 28.1
- 2θ 39.26, rel. 20.6
- 2θ 46.66, rel. 19.5
- 2θ 49.75, rel. 24.5
- 2θ 51.87, rel. 20.2
- 2θ 52.56, rel. 20.6
- 2θ 57.38, rel. 22.1

***

Computed XRD peak list
Compound: W2O3F9
Radiation: Cu Kα (weighted mean of Kα1 and Kα2)
Structure: the GGA+U geometry in the Materials Project

Atomic structure:
```
W2O3F9
1.0
5.781 0.000 0.000
0.000 5.482 0.000
-4.536 0.000 15.582
W O F
4 6 18
direct
0.133 0.234 0.381 W
0.133 0.766 0.881 W
0.867 0.234 0.119 W
0.867 0.766 0.619 W
0.239 0.140 0.488 O
0.239 0.860 0.988 O
0.500 0.318 0.750 O
0.500 0.682 0.250 O
0.761 0.140 0.012 O
0.761 0.860 0.512 O
0.000 0.352 0.250 F
0.000 0.648 0.750 F
0.074 0.032 0.661 F
0.074 0.968 0.161 F
0.134 0.418 0.108 F
0.134 0.582 0.608 F
0.313 0.472 0.890 F
0.313 0.528 0.390 F
0.374 0.081 0.340 F
0.374 0.919 0.840 F
0.626 0.081 0.160 F
0.626 0.919 0.660 F
0.687 0.472 0.610 F
0.687 0.528 0.110 F
0.866 0.418 0.392 F
0.866 0.582 0.892 F
0.926 0.032 0.839 F
0.926 0.968 0.339 F
```

Most intense lines, 15 to 90 degrees two-theta, by angle:
- 2θ 15.97, rel. 47.3
- 2θ 16.82, rel. 44.0
- 2θ 17.15, rel. 79.5
- 2θ 22.11, rel. 29.8
- 2θ 22.38, rel. 100.0
- 2θ 22.83, rel. 49.8
- 2θ 23.60, rel. 48.5
- 2θ 31.27, rel. 26.5
- 2θ 33.08, rel. 24.6
- 2θ 50.37, rel. 26.4

***

Computed XRD peak list
Compound: W3O7F
Radiation: Cu Kα (weighted mean of Kα1 and Kα2)
Structure: the GGA+U geometry in the Materials Project

Atomic structure:
```
W3O7F
1.0
3.189 -5.561 0.000
3.189 5.561 0.000
0.000 0.000 3.886
W O F
3 7 1
direct
0.000 0.000 0.000 W
0.305 0.695 0.000 W
0.695 0.305 0.000 W
0.000 0.000 0.500 O
0.041 0.341 0.000 O
0.309 0.691 0.500 O
0.341 0.041 0.000 O
0.659 0.959 0.000 O
0.691 0.309 0.500 O
0.959 0.659 0.000 O
0.500 0.500 0.000 F
```

Most intense lines, 15 to 90 degrees two-theta, by angle:
- 2θ 22.89, rel. 100.0
- 2θ 27.83, rel. 89.5
- 2θ 27.98, rel. 61.9
- 2θ 36.33, rel. 59.0
- 2θ 36.45, rel. 38.9
- 2θ 43.13, rel. 17.0
- 2θ 46.76, rel. 19.9
- 2θ 49.40, rel. 42.1
- 2θ 55.12, rel. 26.0
- 2θ 55.32, rel. 44.1

***

Computed XRD peak list
Compound: WOF4
Radiation: Cu Kα (weighted mean of Kα1 and Kα2)
Structure: the GGA+U geometry in the Materials Project

Atomic structure:
```
WOF4
1.0
-5.761 5.761 3.312
5.761 -5.761 3.312
5.761 5.761 -3.312
W O F
4 4 16
direct
0.256 0.435 0.721 W
0.465 0.744 0.180 W
0.565 0.285 0.820 W
0.715 0.535 0.279 W
0.359 0.588 0.950 O
0.412 0.362 0.771 O
0.591 0.641 0.229 O
0.638 0.409 0.050 O
0.012 0.820 0.294 F
0.102 0.507 0.670 F
0.157 0.284 0.495 F
0.180 0.474 0.192 F
0.282 0.988 0.808 F
0.338 0.843 0.127 F
0.420 0.250 0.267 F
0.493 0.163 0.595 F
0.526 0.718 0.706 F
0.568 0.898 0.405 F
0.716 0.212 0.873 F
0.750 0.017 0.170 F
0.788 0.662 0.505 F
0.837 0.432 0.330 F
0.847 0.580 0.830 F
0.983 0.153 0.733 F
```

Most intense lines, 15 to 90 degrees two-theta, by angle:
- 2θ 15.43, rel. 88.6
- 2θ 21.84, rel. 100.0
- 2θ 24.43, rel. 33.0
- 2θ 26.91, rel. 20.6
- 2θ 31.07, rel. 39.1
- 2θ 34.87, rel. 29.0
- 2θ 44.64, rel. 11.1
- 2θ 45.92, rel. 18.8
- 2θ 54.04, rel. 11.9
- 2θ 55.25, rel. 11.1

***

Computed XRD peak list
Compound: WOF4
Radiation: Cu Kα (weighted mean of Kα1 and Kα2)
Structure: the GGA+U geometry in the Materials Project

Atomic structure:
```
WOF4
1.0
16.903 0.000 0.000
0.000 5.512 0.000
0.000 0.000 9.347
W O F
8 8 32
direct
0.127 0.151 0.000 W
0.150 0.468 0.401 W
0.350 0.468 0.901 W
0.373 0.151 0.500 W
0.627 0.849 0.000 W
0.650 0.532 0.401 W
0.850 0.532 0.901 W
0.873 0.849 0.500 W
0.044 0.030 0.077 O
0.139 0.574 0.572 O
0.361 0.574 0.072 O
0.456 0.030 0.577 O
0.544 0.970 0.077 O
0.639 0.426 0.572 O
0.861 0.426 0.072 O
0.956 0.970 0.577 O
0.055 0.564 0.314 F
0.091 0.468 0.957 F
0.112 0.149 0.422 F
0.115 0.056 0.809 F
0.172 0.309 0.173 F
0.201 0.905 0.036 F
0.204 0.728 0.313 F
0.243 0.323 0.916 F
0.257 0.323 0.416 F
0.296 0.728 0.813 F
0.299 0.905 0.536 F
0.328 0.309 0.673 F
0.385 0.056 0.309 F
0.388 0.149 0.922 F
0.409 0.468 0.457 F
0.445 0.564 0.814 F
0.555 0.436 0.314 F
0.591 0.532 0.957 F
0.612 0.851 0.422 F
0.615 0.944 0.809 F
0.672 0.691 0.173 F
0.701 0.095 0.036 F
0.704 0.272 0.313 F
0.743 0.677 0.916 F
0.757 0.677 0.416 F
0.796 0.272 0.813 F
0.799 0.095 0.536 F
0.828 0.691 0.673 F
0.885 0.944 0.309 F
0.888 0.851 0.922 F
0.909 0.532 0.457 F
0.945 0.436 0.814 F
```

Most intense lines, 15 to 90 degrees two-theta, by angle:
- 2θ 16.92, rel. 25.1
- 2θ 18.99, rel. 48.5
- 2θ 19.42, rel. 15.0
- 2θ 21.02, rel. 43.6
- 2θ 21.47, rel. 100.0
- 2θ 24.98, rel. 16.4
- 2θ 25.54, rel. 13.6
- 2θ 28.48, rel. 23.2
- 2θ 30.58, rel. 22.8
- 2θ 59.38, rel. 11.8

***

Please write out number 3 again, unchanged.
Computed XRD peak list
Compound: WOF4
Radiation: Cu Kα (weighted mean of Kα1 and Kα2)
Structure: the GGA+U geometry in the Materials Project

Atomic structure:
```
WOF4
1.0
8.099 0.000 0.000
0.000 5.004 0.000
-3.451 0.000 9.680
W O F
4 4 16
direct
0.237 0.047 0.047 W
0.237 0.453 0.547 W
0.763 0.547 0.453 W
0.763 0.953 0.953 W
0.385 0.241 0.517 O
0.385 0.259 0.017 O
0.615 0.741 0.983 O
0.615 0.759 0.483 O
0.012 0.210 0.933 F
0.012 0.290 0.433 F
0.196 0.220 0.196 F
0.196 0.280 0.696 F
0.198 0.699 0.401 F
0.198 0.801 0.901 F
0.379 0.704 0.669 F
0.379 0.796 0.169 F
0.621 0.204 0.831 F
0.621 0.296 0.331 F
0.802 0.199 0.099 F
0.802 0.301 0.599 F
0.804 0.720 0.304 F
0.804 0.780 0.804 F
0.988 0.710 0.567 F
0.988 0.790 0.067 F
```

Most intense lines, 15 to 90 degrees two-theta, by angle:
- 2θ 18.11, rel. 31.0
- 2θ 18.33, rel. 49.7
- 2θ 19.98, rel. 100.0
- 2θ 21.53, rel. 13.9
- 2θ 23.32, rel. 37.9
- 2θ 24.38, rel. 17.9
- 2θ 28.39, rel. 34.3
- 2θ 31.75, rel. 19.3
- 2θ 33.23, rel. 24.6
- 2θ 41.25, rel. 11.5